Entry 1:
The following is a calculated X-ray powder pattern of InAg7. It was derived from the GGA-PBE geometry in OQMD, using λ = 1.5418 Å (Cu Kα).
Intensities are scaled so that the largest is 100.

Crystal structure
```
InAg7
1.0
2.0438 -2.0437 0.0000
2.0438 2.0437 0.0000
-0.0480 0.0000 42.3523
In Ag
2 14
Direct
0.2500 0.2500 0.1198
0.7500 0.7500 0.8802
0.2500 0.2500 0.2287
0.2500 0.2500 0.3281
0.2498 0.2498 0.4266
0.2501 0.2501 0.5244
0.2501 0.2501 0.6226
0.2500 0.2500 0.7214
0.2501 0.2501 0.8221
0.7499 0.7499 0.1779
0.7500 0.7500 0.2786
0.7499 0.7499 0.3774
0.7499 0.7499 0.4756
0.7502 0.7502 0.5734
0.7500 0.7500 0.6719
0.7500 0.7500 0.7713
```

Principal peaks in the range 5° ≤ 2θ ≤ 70°, in order of rising 2θ:
Position (°2θ)	intensity
6.26	21
35.38	7
37.68	100
38.96	10
42.70	15
44.33	36
63.23	18
64.48	11



Entry 2:
The following is a calculated X-ray powder pattern of Zr4CuC3. It was derived from the GGA-PBE geometry in OQMD, using λ = 1.5418 Å (Cu Kα).
Intensities are scaled so that the largest is 100.

Crystal structure
```
Zr4CuC3
1.0
3.3569 0.0000 0.0000
-1.6785 2.9072 0.0000
0.0000 0.0000 24.0219
Zr Cu C
8 2 6
Direct
0.0000 0.0000 0.1652
0.0000 0.0000 0.3348
0.0000 0.0000 0.6652
0.0000 0.0000 0.8348
0.3333 0.6667 0.0548
0.3333 0.6667 0.4452
0.6667 0.3333 0.5548
0.6667 0.3333 0.9452
0.3333 0.6667 0.2500
0.6667 0.3333 0.7500
0.0000 0.0000 0.0000
0.0000 0.0000 0.5000
0.3333 0.6667 0.6157
0.3333 0.6667 0.8843
0.6667 0.3333 0.1157
0.6667 0.3333 0.3843
```

Principal peaks in the range 5° ≤ 2θ ≤ 70°, in order of rising 2θ:
Position (°2θ)	intensity
30.99	24
31.67	30
34.27	30
36.11	79
37.44	25
38.26	100
54.68	48
68.15	25



Entry 3:
The following is a calculated X-ray powder pattern of Cu10Te4S13. It was derived from the GGA-PBE geometry in OQMD, using λ = 1.5418 Å (Cu Kα).
Intensities are scaled so that the largest is 100.

Crystal structure
```
Cu10Te4S13
1.0
5.0905 -7.3644 0.0000
5.0905 7.3644 0.0000
-5.0851 0.0000 7.4077
Cu Te S
10 4 13
Direct
0.0000 0.0000 0.0000
0.0412 0.2923 0.7573
0.0418 0.5309 0.5042
0.2790 0.5300 0.2560
0.2923 0.0412 0.7573
0.5300 0.2790 0.2560
0.5309 0.0418 0.5042
0.5600 0.7789 0.7739
0.5681 0.5681 0.0089
0.7789 0.5600 0.7739
0.2688 0.7969 0.0195
0.3008 0.3008 0.5317
0.7900 0.7900 0.4761
0.7969 0.2688 0.0195
0.0052 0.2562 0.4823
0.0392 0.0392 0.7793
0.0399 0.5669 0.2606
0.2562 0.0052 0.4823
0.2578 0.2578 0.2301
0.3085 0.7887 0.7567
0.3101 0.5366 0.0112
0.5323 0.7858 0.5208
0.5366 0.3101 0.0112
0.5669 0.0399 0.2606
0.7707 0.7707 0.9788
0.7858 0.5323 0.5208
0.7887 0.3085 0.7567
```

Principal peaks in the range 5° ≤ 2θ ≤ 70°, in order of rising 2θ:
Position (°2θ)	intensity
29.83	100
29.95	98
34.34	31
49.20	19
50.04	68
58.67	23
58.88	22
60.00	20



Entry 4:
The following is a calculated X-ray powder pattern of KNaPtW. It was derived from the GGA-PBE geometry in OQMD, using λ = 1.5418 Å (Cu Kα).
Intensities are scaled so that the largest is 100.

Crystal structure
```
KNaPtW
1.0
6.7331 0.0000 0.0000
0.0000 6.7331 0.0000
0.0000 0.0000 6.7331
K Na Pt W
4 4 4 4
Direct
0.0000 0.0000 0.0000
0.0000 0.5000 0.5000
0.5000 0.0000 0.5000
0.5000 0.5000 0.0000
0.2500 0.2500 0.2500
0.2500 0.7500 0.7500
0.7500 0.2500 0.7500
0.7500 0.7500 0.2500
0.0000 0.0000 0.5000
0.0000 0.5000 0.0000
0.5000 0.0000 0.0000
0.5000 0.5000 0.5000
0.2500 0.2500 0.7500
0.2500 0.7500 0.2500
0.7500 0.2500 0.2500
0.7500 0.7500 0.7500
```

Principal peaks in the range 5° ≤ 2θ ≤ 70°, in order of rising 2θ:
Position (°2θ)	intensity
22.88	58
26.48	1
37.79	100
44.64	32
54.51	17
59.88	14
68.24	35



Entry 5:
The following is a calculated X-ray powder pattern of SrTmSi2Ni4. It was derived from the GGA-PBE geometry in OQMD, using λ = 1.5418 Å (Cu Kα).
Intensities are scaled so that the largest is 100.

Crystal structure
```
SrTmSi2Ni4
1.0
3.9882 0.0000 0.0000
-1.9941 3.4539 0.0000
0.0000 0.0000 9.7638
Sr Tm Si Ni
1 1 2 4
Direct
0.0000 0.0000 0.0000
0.6667 0.3333 0.5000
0.3333 0.6667 0.2675
0.3333 0.6667 0.7325
0.0000 0.0000 0.3168
0.0000 0.0000 0.6832
0.6667 0.3333 0.2235
0.6667 0.3333 0.7765
```

Principal peaks in the range 5° ≤ 2θ ≤ 70°, in order of rising 2θ:
Position (°2θ)	intensity
9.06	44
25.79	42
27.39	43
36.82	19
37.99	100
45.49	83
59.89	27
60.71	24



Entry 6:
The following is a calculated X-ray powder pattern of TbPrO4. It was derived from the GGA-PBE geometry in OQMD, using λ = 1.5418 Å (Cu Kα).
Intensities are scaled so that the largest is 100.

Crystal structure
```
TbPrO4
1.0
6.7559 0.0000 0.0000
0.0000 3.8854 0.0000
-0.8277 0.0000 6.2984
Tb Pr O
2 2 8
Direct
0.0000 0.0000 0.0000
0.5000 0.5000 0.0000
0.3845 0.0000 0.4618
0.8845 0.5000 0.4618
0.0404 0.0000 0.3622
0.1056 0.5000 0.8084
0.2713 0.5000 0.6737
0.3394 0.0000 0.0760
0.5404 0.5000 0.3622
0.6056 0.0000 0.8084
0.7713 0.0000 0.6737
0.8394 0.5000 0.0760
```

Principal peaks in the range 5° ≤ 2θ ≤ 70°, in order of rising 2θ:
Position (°2θ)	intensity
26.59	46
28.34	45
29.29	100
30.97	37
31.86	24
46.76	20
46.93	26
49.67	28



Entry 7:
The following is a calculated X-ray powder pattern of Sr2Ho2Ge5. It was derived from the GGA-PBE geometry in OQMD, using λ = 1.5418 Å (Cu Kα).
Intensities are scaled so that the largest is 100.

Crystal structure
```
Sr2Ho2Ge5
1.0
2.1411 1.2362 18.4569
-2.1411 1.2362 18.4569
0.0000 -2.4724 18.4569
Sr Ho Ge
2 2 5
Direct
0.0000 0.0000 0.0000
0.1794 0.1794 0.1794
0.5897 0.5897 0.5897
0.7589 0.7589 0.7589
0.0607 0.0607 0.0607
0.2343 0.2343 0.2343
0.7058 0.7058 0.7058
0.8098 0.8098 0.8098
0.9453 0.9453 0.9453
```

Principal peaks in the range 5° ≤ 2θ ≤ 70°, in order of rising 2θ:
Position (°2θ)	intensity
9.58	73
24.05	41
24.21	30
24.86	31
25.33	72
36.72	100
39.32	30
42.21	88



Entry 8:
The following is a calculated X-ray powder pattern of RbNb2PS10. It was derived from the GGA-PBE geometry in OQMD, using λ = 1.5418 Å (Cu Kα).
Intensities are scaled so that the largest is 100.

Crystal structure
```
RbNb2PS10
1.0
7.2335 0.0000 0.0000
0.0000 7.6674 0.0000
-3.9883 0.0000 12.4661
Rb Nb P S
2 4 2 20
Direct
0.0000 0.0073 0.0000
0.0000 0.9927 0.5000
0.5399 0.4385 0.0149
0.5399 0.5615 0.5149
0.5462 0.4378 0.7263
0.5462 0.5622 0.2263
0.3954 0.1008 0.8427
0.3954 0.8992 0.3427
0.1961 0.0848 0.2970
0.1961 0.9152 0.7970
0.2769 0.3863 0.1052
0.2769 0.6137 0.6052
0.2870 0.3570 0.8258
0.2870 0.6430 0.3258
0.2882 0.3662 0.5485
0.2882 0.6338 0.0485
0.5393 0.0981 0.0060
0.5393 0.9019 0.5060
0.5853 0.1049 0.7530
0.5853 0.8951 0.2530
0.6063 0.3414 0.3813
0.6063 0.6586 0.8813
0.7965 0.4516 0.9130
0.7965 0.5484 0.4130
0.8022 0.3720 0.1855
0.8017 0.3751 0.6396
0.8017 0.6249 0.1396
0.8022 0.6280 0.6855
```

Principal peaks in the range 5° ≤ 2θ ≤ 70°, in order of rising 2θ:
Position (°2θ)	intensity
11.54	63
12.85	85
17.30	100
23.20	40
30.57	30
32.34	31
35.03	32
36.84	29